Diffraction record for CeDy3Al8. The X-ray diffraction stick pattern is simulated, not measured: it uses the GGA-PBE geometry in Alexandria and λ = 1.5418 Å (Cu Kα).

Crystal structure
```
data_CeDy3Al8
_chemical_formula_sum 'Ce1 Dy3 Al8'
_cell_length_a 9.670
_cell_length_b 9.670
_cell_length_c 9.670
_cell_angle_alpha 33.50
_cell_angle_beta 33.50
_cell_angle_gamma 33.50
_space_group_name_H-M_alt 'P 1'
_space_group_IT_number 1
loop_
_space_group_symop_operation_xyz
'x,y,z'
loop_
_atom_site_label
_atom_site_type_symbol
_atom_site_fract_x
_atom_site_fract_y
_atom_site_fract_z
Ce1 Ce 0.000 0.000 0.000
Dy1 Dy 0.125 0.125 0.125
Dy2 Dy 0.500 0.500 0.500
Dy3 Dy 0.626 0.626 0.626
Al1 Al 0.062 0.062 0.562
Al2 Al 0.062 0.562 0.062
Al3 Al 0.064 0.563 0.563
Al4 Al 0.312 0.312 0.312
Al5 Al 0.562 0.062 0.062
Al6 Al 0.563 0.064 0.563
Al7 Al 0.563 0.563 0.064
Al8 Al 0.813 0.813 0.813
```

Top 12 peaks for 2θ from 5° to 70°, by intensity:
2theta, d/Å, intensity
32.10, 2.788, 100.0
37.83, 2.378, 99.8
19.49, 4.554, 62.6
57.21, 1.610, 29.1
61.03, 1.518, 20.5
50.44, 1.809, 16.3
61.08, 1.517, 12.3
67.09, 1.395, 10.8
67.19, 1.393, 10.8
57.26, 1.609, 9.7
46.03, 1.972, 8.0
39.58, 2.277, 4.6

---

Diffraction record for Ce4DyAl3. The X-ray diffraction stick pattern is simulated, not measured: it uses the GGA-PBE geometry in Alexandria and λ = 1.5418 Å (Cu Kα).

Crystal structure
```
data_Ce4DyAl3
_chemical_formula_sum 'Ce4 Dy1 Al3'
_cell_length_a 7.466
_cell_length_b 7.466
_cell_length_c 5.687
_cell_angle_alpha 101.27
_cell_angle_beta 101.27
_cell_angle_gamma 38.86
_space_group_name_H-M_alt 'P 1'
_space_group_IT_number 1
loop_
_space_group_symop_operation_xyz
'x,y,z'
loop_
_atom_site_label
_atom_site_type_symbol
_atom_site_fract_x
_atom_site_fract_y
_atom_site_fract_z
Ce1 Ce 0.147 0.147 0.071
Ce2 Ce 0.264 0.264 0.728
Ce3 Ce 0.736 0.736 0.272
Ce4 Ce 0.853 0.853 0.929
Dy1 Dy 0.000 0.000 0.500
Al1 Al 0.373 0.373 0.296
Al2 Al 0.500 0.500 0.000
Al3 Al 0.627 0.627 0.704
```

Top 12 peaks for 2θ from 5° to 70°, by intensity:
2theta, d/Å, intensity
33.09, 2.707, 100.0
37.91, 2.373, 41.7
36.17, 2.484, 40.4
27.49, 3.245, 35.9
18.99, 4.673, 35.1
32.11, 2.788, 35.0
36.41, 2.468, 33.8
49.13, 1.854, 21.3
12.85, 6.888, 20.5
54.49, 1.684, 19.3
46.02, 1.972, 18.0
22.53, 3.947, 16.1

---

Diffraction record for CeAlFe. The X-ray diffraction stick pattern is simulated, not measured: it uses the GGA-PBE geometry in Alexandria and λ = 1.5418 Å (Cu Kα).

Crystal structure
```
data_CeAlFe
_chemical_formula_sum 'Ce2 Al2 Fe2'
_cell_length_a 4.690
_cell_length_b 4.690
_cell_length_c 5.144
_cell_angle_alpha 90.00
_cell_angle_beta 90.00
_cell_angle_gamma 100.25
_space_group_name_H-M_alt 'P 1'
_space_group_IT_number 1
loop_
_space_group_symop_operation_xyz
'x,y,z'
loop_
_atom_site_label
_atom_site_type_symbol
_atom_site_fract_x
_atom_site_fract_y
_atom_site_fract_z
Ce1 Ce 0.250 0.750 0.878
Ce2 Ce 0.750 0.250 0.122
Al1 Al 0.250 0.250 0.500
Al2 Al 0.750 0.750 0.500
Fe1 Fe 0.250 0.750 0.285
Fe2 Fe 0.750 0.250 0.715
```

Top 12 peaks for 2θ from 5° to 70°, by intensity:
2theta, d/Å, intensity
39.03, 2.308, 100.0
40.14, 2.247, 98.7
24.74, 3.599, 96.8
29.71, 3.007, 60.7
30.31, 2.949, 51.1
59.90, 1.544, 45.8
54.48, 1.684, 40.0
34.55, 2.596, 35.9
57.32, 1.607, 27.8
17.24, 5.144, 25.8
50.73, 1.800, 23.1
25.94, 3.435, 17.1

---

Diffraction record for Ce2AlFe. The X-ray diffraction stick pattern is simulated, not measured: it uses the GGA-PBE geometry in Alexandria and λ = 1.5418 Å (Cu Kα).

Crystal structure
```
data_Ce2AlFe
_chemical_formula_sum 'Ce8 Al4 Fe4'
_cell_length_a 5.628
_cell_length_b 5.865
_cell_length_c 11.530
_cell_angle_alpha 90.00
_cell_angle_beta 116.48
_cell_angle_gamma 90.00
_space_group_name_H-M_alt 'P 1'
_space_group_IT_number 1
loop_
_space_group_symop_operation_xyz
'x,y,z'
loop_
_atom_site_label
_atom_site_type_symbol
_atom_site_fract_x
_atom_site_fract_y
_atom_site_fract_z
Ce1 Ce 0.039 0.243 0.104
Ce2 Ce 0.039 0.257 0.604
Ce3 Ce 0.349 0.196 0.393
Ce4 Ce 0.349 0.304 0.893
Ce5 Ce 0.651 0.696 0.107
Ce6 Ce 0.651 0.804 0.607
Ce7 Ce 0.961 0.743 0.396
Ce8 Ce 0.961 0.757 0.896
Al1 Al 0.263 0.742 0.717
Al2 Al 0.263 0.758 0.217
Al3 Al 0.737 0.242 0.783
Al4 Al 0.737 0.258 0.283
Fe1 Fe 0.444 0.021 0.103
Fe2 Fe 0.444 0.479 0.603
Fe3 Fe 0.556 0.521 0.397
Fe4 Fe 0.556 0.979 0.897
```

Top 12 peaks for 2θ from 5° to 70°, by intensity:
2theta, d/Å, intensity
34.76, 2.581, 100.0
33.57, 2.669, 74.7
23.83, 3.734, 54.0
35.41, 2.535, 50.8
23.28, 3.821, 38.8
30.48, 2.932, 34.5
31.84, 2.811, 29.7
44.66, 2.029, 27.8
49.34, 1.847, 20.0
57.00, 1.616, 15.6
56.17, 1.637, 14.9
44.12, 2.053, 12.9

---

Diffraction record for CeAl10Fe2. The X-ray diffraction stick pattern is simulated, not measured: it uses the GGA-PBE geometry in Alexandria and λ = 1.5418 Å (Cu Kα).

Crystal structure
```
data_CeAl10Fe2
_chemical_formula_sum 'Ce2 Al20 Fe4'
_cell_length_a 6.772
_cell_length_b 6.772
_cell_length_c 8.986
_cell_angle_alpha 90.00
_cell_angle_beta 90.00
_cell_angle_gamma 97.71
_space_group_name_H-M_alt 'P 1'
_space_group_IT_number 1
loop_
_space_group_symop_operation_xyz
'x,y,z'
loop_
_atom_site_label
_atom_site_type_symbol
_atom_site_fract_x
_atom_site_fract_y
_atom_site_fract_z
Ce1 Ce 0.123 0.877 0.750
Ce2 Ce 0.877 0.123 0.250
Al1 Al 0.133 0.412 0.750
Al2 Al 0.160 0.840 0.098
Al3 Al 0.160 0.840 0.402
Al4 Al 0.221 0.479 0.250
Al5 Al 0.227 0.227 0.000
Al6 Al 0.227 0.227 0.500
Al7 Al 0.375 0.625 0.551
Al8 Al 0.375 0.625 0.949
Al9 Al 0.412 0.133 0.250
Al10 Al 0.479 0.221 0.750
Al11 Al 0.521 0.779 0.250
Al12 Al 0.588 0.867 0.750
Al13 Al 0.625 0.375 0.051
Al14 Al 0.625 0.375 0.449
Al15 Al 0.773 0.773 0.000
Al16 Al 0.773 0.773 0.500
Al17 Al 0.779 0.521 0.750
Al18 Al 0.840 0.160 0.598
Al19 Al 0.840 0.160 0.902
Al20 Al 0.867 0.588 0.250
Fe1 Fe 0.000 0.500 0.000
Fe2 Fe 0.000 0.500 0.500
Fe3 Fe 0.500 0.000 0.000
Fe4 Fe 0.500 0.000 0.500
```

Top 12 peaks for 2θ from 5° to 70°, by intensity:
2theta, d/Å, intensity
40.72, 2.216, 100.0
40.35, 2.235, 75.5
37.34, 2.408, 39.8
28.21, 3.164, 36.3
28.39, 3.144, 36.3
40.49, 2.228, 36.0
34.73, 2.583, 34.9
40.14, 2.247, 33.4
16.49, 5.377, 32.9
13.19, 6.711, 31.7
23.83, 3.734, 25.3
20.02, 4.435, 22.4

---

Diffraction record for Ce3AlFe. The X-ray diffraction stick pattern is simulated, not measured: it uses the GGA-PBE geometry in Alexandria and λ = 1.5418 Å (Cu Kα).

Crystal structure
```
data_Ce3AlFe
_chemical_formula_sum 'Ce12 Al4 Fe4'
_cell_length_a 6.561
_cell_length_b 6.250
_cell_length_c 11.203
_cell_angle_alpha 90.00
_cell_angle_beta 90.63
_cell_angle_gamma 90.00
_space_group_name_H-M_alt 'P 1'
_space_group_IT_number 1
loop_
_space_group_symop_operation_xyz
'x,y,z'
loop_
_atom_site_label
_atom_site_type_symbol
_atom_site_fract_x
_atom_site_fract_y
_atom_site_fract_z
Ce1 Ce 0.126 0.198 0.439
Ce2 Ce 0.126 0.802 0.939
Ce3 Ce 0.208 0.442 0.720
Ce4 Ce 0.208 0.558 0.220
Ce5 Ce 0.364 0.245 0.938
Ce6 Ce 0.364 0.755 0.438
Ce7 Ce 0.636 0.245 0.562
Ce8 Ce 0.636 0.755 0.062
Ce9 Ce 0.792 0.442 0.780
Ce10 Ce 0.792 0.558 0.280
Ce11 Ce 0.874 0.198 0.061
Ce12 Ce 0.874 0.802 0.561
Al1 Al 0.302 0.041 0.194
Al2 Al 0.302 0.959 0.694
Al3 Al 0.698 0.041 0.306
Al4 Al 0.698 0.959 0.806
Fe1 Fe 0.424 0.301 0.361
Fe2 Fe 0.424 0.699 0.861
Fe3 Fe 0.576 0.301 0.139
Fe4 Fe 0.576 0.699 0.639
```

Top 12 peaks for 2θ from 5° to 70°, by intensity:
2theta, d/Å, intensity
31.75, 2.818, 100.0
32.82, 2.729, 79.7
34.98, 2.565, 62.7
21.30, 4.171, 56.4
34.67, 2.587, 45.6
31.17, 2.869, 44.9
35.70, 2.515, 37.4
44.68, 2.028, 28.8
31.91, 2.805, 28.0
35.56, 2.525, 26.2
45.01, 2.014, 24.0
40.74, 2.215, 22.1

---

Diffraction record for Ce4Al16Fe3. The X-ray diffraction stick pattern is simulated, not measured: it uses the GGA-PBE geometry in Alexandria and λ = 1.5418 Å (Cu Kα).

Crystal structure
```
data_Ce4Al16Fe3
_chemical_formula_sum 'Ce4 Al16 Fe3'
_cell_length_a 6.097
_cell_length_b 6.097
_cell_length_c 11.254
_cell_angle_alpha 90.00
_cell_angle_beta 90.00
_cell_angle_gamma 90.00
_space_group_name_H-M_alt 'P 1'
_space_group_IT_number 1
loop_
_space_group_symop_operation_xyz
'x,y,z'
loop_
_atom_site_label
_atom_site_type_symbol
_atom_site_fract_x
_atom_site_fract_y
_atom_site_fract_z
Ce1 Ce 0.000 0.500 0.194
Ce2 Ce 0.000 0.500 0.806
Ce3 Ce 0.500 0.000 0.194
Ce4 Ce 0.500 0.000 0.806
Al1 Al 0.000 0.000 0.195
Al2 Al 0.000 0.000 0.805
Al3 Al 0.224 0.224 0.000
Al4 Al 0.224 0.776 0.000
Al5 Al 0.251 0.251 0.386
Al6 Al 0.251 0.251 0.614
Al7 Al 0.251 0.749 0.386
Al8 Al 0.251 0.749 0.614
Al9 Al 0.500 0.500 0.215
Al10 Al 0.500 0.500 0.785
Al11 Al 0.749 0.251 0.386
Al12 Al 0.749 0.251 0.614
Al13 Al 0.749 0.749 0.386
Al14 Al 0.749 0.749 0.614
Al15 Al 0.776 0.224 0.000
Al16 Al 0.776 0.776 0.000
Fe1 Fe 0.000 0.500 0.500
Fe2 Fe 0.500 0.000 0.500
Fe3 Fe 0.500 0.500 0.000
```

Top 12 peaks for 2θ from 5° to 70°, by intensity:
2theta, d/Å, intensity
38.04, 2.366, 100.0
20.60, 4.311, 85.5
31.62, 2.830, 79.8
41.91, 2.156, 71.1
33.43, 2.680, 44.6
29.30, 3.048, 38.9
53.43, 1.715, 34.0
59.37, 1.557, 29.7
26.04, 3.422, 29.2
40.06, 2.251, 24.3
60.77, 1.524, 22.7
47.14, 1.928, 20.4

---

Diffraction record for CeAlFe2Ge4. The X-ray diffraction stick pattern is simulated, not measured: it uses the GGA-PBE geometry in Alexandria and λ = 1.5418 Å (Cu Kα).

Crystal structure
```
data_CeAlFe2Ge4
_chemical_formula_sum 'Ce1 Al1 Fe2 Ge4'
_cell_length_a 4.873
_cell_length_b 4.873
_cell_length_c 6.387
_cell_angle_alpha 90.00
_cell_angle_beta 90.00
_cell_angle_gamma 90.00
_space_group_name_H-M_alt 'P 1'
_space_group_IT_number 1
loop_
_space_group_symop_operation_xyz
'x,y,z'
loop_
_atom_site_label
_atom_site_type_symbol
_atom_site_fract_x
_atom_site_fract_y
_atom_site_fract_z
Ce1 Ce 0.000 0.000 0.000
Al1 Al 0.000 0.000 0.500
Fe1 Fe 0.500 0.500 0.314
Fe2 Fe 0.500 0.500 0.686
Ge1 Ge 0.000 0.500 0.294
Ge2 Ge 0.000 0.500 0.706
Ge3 Ge 0.500 0.000 0.294
Ge4 Ge 0.500 0.000 0.706
```

Top 12 peaks for 2θ from 5° to 70°, by intensity:
2theta, d/Å, intensity
36.89, 2.436, 100.0
38.44, 2.342, 60.6
22.96, 3.874, 49.7
33.55, 2.671, 46.8
53.17, 1.723, 34.0
57.49, 1.603, 30.5
50.72, 1.800, 28.1
67.49, 1.388, 23.2
29.46, 3.032, 23.0
42.46, 2.129, 19.2
43.90, 2.062, 17.8
27.94, 3.193, 9.3